Starting from a DFT-relaxed cell (PBE, Alexandria), the powder XRD pattern of Dy6Tl2Sn was computed for Cu Kα (λ = 1.5418 Å).

Most intense lines, 2θ = 10–90°, by intensity:
34.75 deg, 2.582 Å, intensity 100; 21.07 deg, 4.216 Å, intensity 29; 62.26 deg, 1.491 Å, intensity 25; 40.99 deg, 2.202 Å, intensity 16; 62.35 deg, 1.489 Å, intensity 12; 50.00 deg, 1.824 Å, intensity 12; 24.38 deg, 3.651 Å, intensity 11; 83.84 deg, 1.154 Å, intensity 11; 73.31 deg, 1.291 Å, intensity 10; 49.87 deg, 1.828 Å, intensity 6

Structural model:
```
data_Dy6Tl2Sn
_chemical_formula_sum 'Dy12 Tl4 Sn2'
_space_group_name_H-M_alt 'I m m m'
_space_group_IT_number 71
_space_group_name_Hall '-I 2 2'
_cell_length_a 5.156
_cell_length_b 7.314
_cell_length_c 15.491
_cell_angle_alpha 90.00
_cell_angle_beta 90.00
_cell_angle_gamma 90.00
loop_
_atom_site_label
_atom_site_type_symbol
_atom_site_fract_x
_atom_site_fract_y
_atom_site_fract_z
Dy1 Dy 0.000 0.249 0.000
Dy2 Dy 0.000 0.250 0.333
Tl1 Tl 0.000 0.000 0.166
Sn1 Sn 0.000 0.000 0.500
```